No. 1
DyCuAs2: simulated powder X-ray diffraction pattern (copper Kα), based on a structure optimized by DFT (PBE).
Intensities are scaled so that the largest is 100.

Structure:
a = 3.918 Å, b = 3.918 Å, c = 9.835 Å
α = 90.00°, β = 90.00°, γ = 90.00°
Fractional positions:
Dy  0.250  0.250  0.237
Dy  0.750  0.750  0.763
Cu  0.250  0.750  0.500
Cu  0.750  0.250  0.500
As  0.250  0.250  0.660
As  0.250  0.750  0.000
As  0.750  0.250  0.000
As  0.750  0.750  0.340

Largest 8 diffraction maxima, by angle, 5° ≤ 2θ ≤ 70°:
- 3.640 Å, 2θ 24.46, intensity 23
- 3.064 Å, 2θ 29.14, intensity 16
- 2.514 Å, 2θ 35.71, intensity 26
- 2.459 Å, 2θ 36.55, intensity 14
- 2.414 Å, 2θ 37.25, intensity 100
- 1.959 Å, 2θ 46.35, intensity 35
- 1.758 Å, 2θ 52.02, intensity 16
- 1.532 Å, 2θ 60.42, intensity 13

---

No. 2
Dy5YTm4: simulated powder X-ray diffraction pattern (copper Kα), based on a structure optimized by DFT (PBE).
Intensities are scaled so that the largest is 100.

Structure:
a = 7.802 Å, b = 7.802 Å, c = 7.802 Å
α = 99.30°, β = 99.30°, γ = 132.60°
Fractional positions:
Dy  0.000  0.000  0.000
Dy  0.497  0.588  0.621
Dy  0.588  0.967  0.090
Dy  0.876  0.497  0.910
Dy  0.967  0.876  0.379
Y  0.458  0.458  0.000
Tm  0.181  0.579  0.298
Tm  0.281  0.883  0.702
Tm  0.579  0.281  0.398
Tm  0.883  0.181  0.602

Largest 8 diffraction maxima, by angle, 5° ≤ 2θ ≤ 70°:
- 3.195 Å, 2θ 27.92, intensity 62
- 3.136 Å, 2θ 28.46, intensity 37
- 2.967 Å, 2θ 30.12, intensity 100
- 2.872 Å, 2θ 31.15, intensity 34
- 2.559 Å, 2θ 35.07, intensity 63
- 2.282 Å, 2θ 39.48, intensity 28
- 2.238 Å, 2θ 40.30, intensity 35
- 1.606 Å, 2θ 57.39, intensity 22

---

- Number 1 is which compound?
  DyCuAs2

---

- Number 2 is which compound?
  Dy5YTm4